(1)
For Li7Co2O6, the PBE+U geometry in the Materials Project gives the simulated PXRD pattern in this record (λ = 1.5418 Å (Cu Kα)).

Most intense lines, 5° ≤ 2θ ≤ 70°, by angle:
(hkl), 2theta, I (rel.)
0 0 1, 16.99, 100
0 1 0, 18.77, 27
1 0 -1, 23.89, 24
-1 1 1, 26.79, 25
1 -1 0, 26.96, 33
0 2 1, 33.80, 32

Structure:
Lattice parameters (Å, degrees): 5.2886 5.3524 5.8470 63.06 87.40 82.26
Space group P1 (No. 1)
Symmetry-distinct sites (fractional):
Li (0.0000, 0.0000, 0.0000) (multiplicity 1)
Li (0.0243, 0.4735, 0.6623) (multiplicity 1)
Li (0.3876, 0.8458, 0.7520) (multiplicity 1)
Li (0.4813, 0.2824, 0.9730) (multiplicity 1)
Li (0.6951, 0.2286, 0.6370) (multiplicity 1)
Li (0.7782, 0.5834, 0.9824) (multiplicity 1)
Li (0.8442, 0.9476, 0.4367) (multiplicity 1)
Co (0.1922, 0.3364, 0.3133) (multiplicity 1)
Co (0.4993, 0.7076, 0.3123) (multiplicity 1)
O (0.0667, 0.1030, 0.6258) (multiplicity 1)
O (0.1112, 0.3671, 0.0037) (multiplicity 1)
O (0.1285, 0.7034, 0.3228) (multiplicity 1)
O (0.5664, 0.3054, 0.3005) (multiplicity 1)
O (0.6215, 0.9383, 0.9711) (multiplicity 1)
O (0.6444, 0.6008, 0.6559) (multiplicity 1)

=====

(2)
For LiCo15O16, the PBE+U geometry in the Materials Project gives the simulated PXRD pattern in this record (λ = 1.5418 Å (Cu Kα)).

Most intense lines, 5° ≤ 2θ ≤ 70°, by angle:
(hkl), 2theta, I (rel.)
2 2 0, 36.34, 100
0 3 -1, 42.09, 68
2 0 -2, 42.33, 67
2 1 3, 42.43, 66
2 4 2, 61.10, 39
4 1 1, 61.35, 38

Structure:
Lattice parameters (Å, degrees): 6.0448 6.7951 7.9540 89.93 79.19 77.11
Space group P-1 (No. 2)
Symmetry-distinct sites (fractional):
Li (0.0000, 0.0000, 0.0000) (multiplicity 1)
Co (0.0000, 0.5000, 0.5000) (multiplicity 1)
Co (0.1236, 0.8779, 0.6334) (multiplicity 2)
Co (0.1249, 0.3724, 0.1227) (multiplicity 2)
Co (0.2484, 0.2472, 0.7515) (multiplicity 2)
Co (0.2482, 0.7537, 0.2476) (multiplicity 2)
Co (0.3726, 0.6268, 0.8774) (multiplicity 2)
Co (0.3764, 0.1241, 0.3729) (multiplicity 2)
Co (0.5000, 0.0000, 0.0000) (multiplicity 1)
Co (0.5000, 0.5000, 0.5000) (multiplicity 1)
O (0.0629, 0.1853, 0.5633) (multiplicity 2)
O (0.0655, 0.6782, 0.0650) (multiplicity 2)
O (0.1883, 0.5643, 0.6856) (multiplicity 2)
O (0.1905, 0.0656, 0.1897) (multiplicity 2)
O (0.3138, 0.4382, 0.3113) (multiplicity 2)
O (0.3209, 0.9375, 0.8141) (multiplicity 2)
O (0.4360, 0.8125, 0.4395) (multiplicity 2)
O (0.4396, 0.3104, 0.9345) (multiplicity 2)

=====

(3)
For Li8Co5O10, the PBE+U geometry in the Materials Project gives the simulated PXRD pattern in this record (λ = 1.5418 Å (Cu Kα)).

Most intense lines, 5° ≤ 2θ ≤ 70°, by angle:
(hkl), 2theta, I (rel.)
1 -1 0, 18.34, 42
0 1 -2, 25.83, 100
0 2 1, 32.79, 12
2 0 1, 42.23, 16
-1 3 1, 42.46, 15
2 -1 3, 54.96, 14

Structure:
Lattice parameters (Å, degrees): 5.3617 6.6349 8.0538 90.05 102.67 113.76
Space group P1 (No. 1)
Symmetry-distinct sites (fractional):
Li (0.0000, 0.0000, 0.0000) (multiplicity 1)
Li (0.0202, 0.9229, 0.6823) (multiplicity 1)
Li (0.2148, 0.1041, 0.3090) (multiplicity 1)
Li (0.3960, 0.2841, 0.8900) (multiplicity 1)
Li (0.4374, 0.4484, 0.1719) (multiplicity 1)
Li (0.5665, 0.4655, 0.5095) (multiplicity 1)
Li (0.6283, 0.6400, 0.7901) (multiplicity 1)
Li (0.8120, 0.8182, 0.3794) (multiplicity 1)
Co (0.0111, 0.4617, 0.8433) (multiplicity 1)
Co (0.2080, 0.6592, 0.4381) (multiplicity 1)
Co (0.4222, 0.8611, 0.0350) (multiplicity 1)
Co (0.5980, 0.0555, 0.6474) (multiplicity 1)
Co (0.8069, 0.2619, 0.2429) (multiplicity 1)
O (0.0360, 0.7479, 0.8848) (multiplicity 1)
O (0.1919, 0.3874, 0.3292) (multiplicity 1)
O (0.2154, 0.9448, 0.5046) (multiplicity 1)
O (0.3893, 0.5687, 0.9538) (multiplicity 1)
O (0.4284, 0.1502, 0.1187) (multiplicity 1)
O (0.6116, 0.7737, 0.5692) (multiplicity 1)
O (0.6360, 0.3535, 0.7313) (multiplicity 1)
O (0.7907, 0.5084, 0.3387) (multiplicity 1)
O (0.8095, 0.9922, 0.1811) (multiplicity 1)
O (0.9862, 0.1764, 0.8053) (multiplicity 1)

=====

(4)
For Li11Co2O8, the PBE+U geometry in the Materials Project gives the simulated PXRD pattern in this record (λ = 1.5418 Å (Cu Kα)).

Most intense lines, 5° ≤ 2θ ≤ 70°, by angle:
(hkl), 2theta, I (rel.)
0 2 0, 18.85, 26
1 1 2, 23.36, 100
2 2 0, 27.10, 23
2 2 2, 33.31, 35
3 1 2, 36.32, 22
3 3 2, 45.69, 23

Structure:
Lattice parameters (Å, degrees): 9.2015 9.4175 9.3361 90.00 90.00 90.00
Space group C222_1 (No. 20)
Symmetry-distinct sites (fractional):
Li (0.0000, 0.2268, 0.2500) (multiplicity 4)
Li (0.0014, 0.2788, 0.5192) (multiplicity 8)
Li (0.2115, 0.0013, 0.7486) (multiplicity 8)
Li (0.2154, 0.5000, 0.0000) (multiplicity 4)
Li (0.2147, 0.5000, 0.5000) (multiplicity 4)
Li (0.2288, 0.2502, 0.7257) (multiplicity 8)
Li (0.2489, 0.2532, 0.9705) (multiplicity 8)
Co (0.0002, 0.0000, 0.0000) (multiplicity 4)
Co (0.0000, 0.4964, 0.7500) (multiplicity 4)
O (0.1295, 0.1266, 0.1013) (multiplicity 8)
O (0.1302, 0.1234, 0.5942) (multiplicity 8)
O (0.1335, 0.3670, 0.3565) (multiplicity 8)
O (0.1380, 0.3787, 0.8590) (multiplicity 8)

=====

(5)
For Li5Co8O16, the PBE+U geometry in the Materials Project gives the simulated PXRD pattern in this record (λ = 1.5418 Å (Cu Kα)).

Most intense lines, 5° ≤ 2θ ≤ 70°, by angle:
(hkl), 2theta, I (rel.)
0 0 2, 17.63, 100
-1 2 2, 37.55, 8
1 2 -1, 40.18, 8
1 2 3, 40.46, 8
1 -2 2, 44.27, 16
0 4 -3, 57.46, 9

Structure:
Lattice parameters (Å, degrees): 2.8909 9.9124 10.9880 66.34 88.83 89.98
Space group P1 (No. 1)
Symmetry-distinct sites (fractional):
Li (0.0000, 0.0000, 0.0000) (multiplicity 1)
Li (0.0058, 0.4984, 0.9973) (multiplicity 1)
Li (0.0811, 0.4283, 0.4959) (multiplicity 1)
Li (0.5351, 0.7097, 0.4970) (multiplicity 1)
Li (0.8033, 0.0540, 0.4987) (multiplicity 1)
Co (0.0298, 0.2217, 0.7504) (multiplicity 1)
Co (0.0306, 0.7339, 0.7475) (multiplicity 1)
Co (0.2869, 0.3481, 0.2555) (multiplicity 1)
Co (0.2967, 0.8452, 0.2526) (multiplicity 1)
Co (0.5225, 0.9745, 0.7539) (multiplicity 1)
Co (0.5327, 0.4783, 0.7437) (multiplicity 1)
Co (0.7759, 0.6046, 0.2403) (multiplicity 1)
Co (0.7946, 0.1034, 0.2392) (multiplicity 1)
O (0.0158, 0.8548, 0.8475) (multiplicity 1)
O (0.0171, 0.3601, 0.8387) (multiplicity 1)
O (0.0290, 0.0982, 0.6527) (multiplicity 1)
O (0.0473, 0.6041, 0.6423) (multiplicity 1)
O (0.2592, 0.5560, 0.1466) (multiplicity 1)
O (0.2914, 0.1374, 0.3524) (multiplicity 1)
O (0.2948, 0.0504, 0.1450) (multiplicity 1)
O (0.3129, 0.6338, 0.3560) (multiplicity 1)
O (0.5192, 0.0863, 0.8599) (multiplicity 1)
O (0.5305, 0.5858, 0.8503) (multiplicity 1)
O (0.5321, 0.8674, 0.6421) (multiplicity 1)
O (0.5383, 0.3667, 0.6398) (multiplicity 1)
O (0.7754, 0.3928, 0.3508) (multiplicity 1)
O (0.7893, 0.8825, 0.3502) (multiplicity 1)
O (0.7960, 0.3160, 0.1548) (multiplicity 1)
O (0.8077, 0.8100, 0.1522) (multiplicity 1)

=====

(6)
For Li3Co4O8, the PBE+U geometry in the Materials Project gives the simulated PXRD pattern in this record (λ = 1.5418 Å (Cu Kα)).

Most intense lines, 5° ≤ 2θ ≤ 70°, by angle:
(hkl), 2theta, I (rel.)
1 0 -1, 18.03, 100
1 2 1, 36.39, 37
2 2 0, 43.64, 42
0 0 4, 43.77, 21
3 0 1, 47.62, 12
4 0 0, 62.53, 17

Structure:
Lattice parameters (Å, degrees): 5.9517 5.7886 8.2783 90.00 92.23 90.00
Space group P2/m (No. 10)
Symmetry-distinct sites (fractional):
Li (0.0000, 0.0000, 0.0000) (multiplicity 1)
Li (0.2500, 0.2499, 0.2490) (multiplicity 4)
Li (0.5000, 0.5000, 0.5000) (multiplicity 1)
Co (0.0000, 0.0000, 0.5000) (multiplicity 1)
Co (0.0000, 0.5000, 0.5000) (multiplicity 1)
Co (0.2535, 0.2472, 0.7534) (multiplicity 4)
Co (0.5000, 0.0000, 0.0000) (multiplicity 1)
Co (0.5000, 0.5000, 0.0000) (multiplicity 1)
O (0.0137, 0.5000, 0.7278) (multiplicity 2)
O (0.0165, 0.0000, 0.7425) (multiplicity 2)
O (0.2232, 0.2624, 0.5076) (multiplicity 4)
O (0.2738, 0.2409, 0.9927) (multiplicity 4)
O (0.4864, 0.5000, 0.7590) (multiplicity 2)
O (0.4877, 0.0000, 0.7650) (multiplicity 2)

=====

(7)
For Li2CoO3, the PBE+U geometry in the Materials Project gives the simulated PXRD pattern in this record (λ = 1.5418 Å (Cu Kα)).

Most intense lines, 5° ≤ 2θ ≤ 70°, by angle:
(hkl), 2theta, I (rel.)
0 0 1, 12.34, 47
2 0 -1, 18.53, 100
0 0 2, 24.83, 18
1 1 1, 35.79, 31
3 1 0, 43.07, 77
2 0 -4, 46.03, 27

Structure:
Lattice parameters (Å, degrees): 9.8208 2.9634 7.8886 90.00 114.62 90.00
Space group C2/m (No. 12)
Symmetry-distinct sites (fractional):
Li (0.0000, 0.0000, 0.0000) (multiplicity 2)
Li (0.0000, 0.0000, 0.5000) (multiplicity 2)
Li (0.1608, 0.5000, 0.3353) (multiplicity 4)
Co (0.1600, 0.5000, 0.8220) (multiplicity 4)
O (0.0132, 0.0000, 0.7569) (multiplicity 4)
O (0.1751, 0.5000, 0.0683) (multiplicity 4)
O (0.1750, 0.5000, 0.6100) (multiplicity 4)

=====

(8)
For Li8Co5O10, the PBE+U geometry in the Materials Project gives the simulated PXRD pattern in this record (λ = 1.5418 Å (Cu Kα)).

Most intense lines, 5° ≤ 2θ ≤ 70°, by angle:
(hkl), 2theta, I (rel.)
2 0 0, 18.28, 43
1 1 0, 26.43, 100
2 0 5, 42.04, 16
4 0 -5, 42.19, 16
3 1 -5, 44.52, 22
5 1 -5, 55.91, 14

Structure:
Lattice parameters (Å, degrees): 10.1100 3.5970 14.3352 90.00 106.29 90.00
Space group Cm (No. 8)
Symmetry-distinct sites (fractional):
Li (0.0000, 0.0000, 0.0000) (multiplicity 2)
Li (0.9998, 0.0000, 0.1722) (multiplicity 2)
Li (0.0498, 0.5000, 0.6852) (multiplicity 2)
Li (0.0543, 0.5000, 0.5084) (multiplicity 2)
Li (0.0637, 0.5000, 0.9055) (multiplicity 2)
Li (0.0657, 0.5000, 0.2953) (multiplicity 2)
Li (0.4887, 0.5000, 0.3888) (multiplicity 2)
Li (0.4900, 0.5000, 0.7837) (multiplicity 2)
Co (0.2697, 0.0000, 0.6403) (multiplicity 2)
Co (0.2752, 0.0000, 0.8414) (multiplicity 2)
Co (0.2760, 0.0000, 0.4442) (multiplicity 2)
Co (0.2774, 0.0000, 0.2426) (multiplicity 2)
Co (0.2840, 0.0000, 0.0474) (multiplicity 2)
O (0.1384, 0.0000, 0.7191) (multiplicity 2)
O (0.1411, 0.0000, 0.3219) (multiplicity 2)
O (0.1409, 0.0000, 0.5078) (multiplicity 2)
O (0.1414, 0.0000, 0.9170) (multiplicity 2)
O (0.1501, 0.0000, 0.1146) (multiplicity 2)
O (0.4020, 0.0000, 0.5630) (multiplicity 2)
O (0.4076, 0.0000, 0.9662) (multiplicity 2)
O (0.4116, 0.0000, 0.3763) (multiplicity 2)
O (0.4148, 0.0000, 0.7716) (multiplicity 2)
O (0.4212, 0.0000, 0.1734) (multiplicity 2)

=====

What is the formula in the second record? LiCo15O16

=====

What is the formula in the eighth record? Li8Co5O10